Calculated PXRD pattern of Sr2AlCu3O7 for λ = 1.5418 Å (Cu Kα), from a structure optimized by DFT (GGA-PBE).
Peak positions follow from Bragg's law for the DFT cell and can differ from measured ones.

Cell and atoms:
```
data_Sr2AlCu3O7
_space_group_name_H-M_alt 'C 1 c 1'
_space_group_IT_number 9
_space_group_name_Hall 'C -2yc'
_cell_length_a 23.5389
_cell_length_b 5.2921
_cell_length_c 5.3470
_cell_angle_alpha 90.00
_cell_angle_beta 103.13
_cell_angle_gamma 90.00
loop_
_atom_site_label
_atom_site_fract_x
_atom_site_fract_y
_atom_site_fract_z
_atom_site_occupancy
Sr1 0.0000 0.2464 0.0000 1
Sr2 0.3034 0.2534 0.3046 1
Al1 0.1517 0.2490 0.1451 1
Cu1 0.0912 0.2504 0.5855 1
Cu2 0.2121 0.2502 0.7081 1
Cu3 0.4017 0.1989 0.9210 1
O1 0.0963 0.0728 0.9133 1
O2 0.0974 0.4277 0.2699 1
O3 0.2060 0.0719 0.3803 1
O4 0.2070 0.4268 0.0258 1
O5 0.3208 0.2540 0.8143 1
O6 0.4017 0.1404 0.2660 1
O7 0.4825 0.2539 0.9754 1
```

Main lines, sorted by position (2θ from 10° to 80°):
| d (Å) | Rel. int. | (hkl) |
| --- | --- | --- |
| 3.145 | 32 | 5 1 -1 |
| 2.678 | 100 | 2 0 -2 |
| 2.646 | 31 | 0 2 0 |
| 2.292 | 23 | 10 0 0 |
| 2.279 | 14 | 9 1 -1 |
| 1.881 | 28 | 2 2 -2 |
| 1.545 | 15 | 3 1 3 |
| 1.454 | 17 | 12 2 -2 |